Diffraction record for Rb3Hg2Cl8. The powder diffraction line list is simulated, not measured: it uses a structure optimized by DFT (GGA-PBE) and CuKα.
Lines closer than 0.1° are merged.

Cell and atoms:
```
Rb3Hg2Cl8
1.0
3.691 2.131 9.574
-3.691 2.131 9.574
0.000 -4.262 9.574
Rb Hg Cl
3 2 8
Direct
0.000 0.000 0.000
0.204 0.204 0.204
0.796 0.796 0.796
0.402 0.402 0.402
0.598 0.598 0.598
0.201 0.744 0.744
0.256 0.256 0.799
0.256 0.799 0.256
0.316 0.316 0.316
0.684 0.684 0.684
0.744 0.201 0.744
0.744 0.744 0.201
0.799 0.256 0.256
```

Main lines, by angle (2θ from 10° to 90°):
d 6.240, I = 30; d 4.780, I = 39; d 4.273, I = 87; d 3.691, I = 100; d 2.793, I = 57; d 2.620, I = 50; d 2.227, I = 41; d 2.131, I = 22; d 1.847, I = 56; d 1.700, I = 24